[1]
Calculated powder diffraction line list of Sr2LiBr2O2 for Cu Kα (λ = 1.5418 Å), from a PBE-relaxed structure.
Neutral-atom scattering factors, no anomalous dispersion.

Principal peaks in the range 2θ from 5° to 70°, low angle first:
2theta, I/Imax, (hkl)
19.22, 32.6, 0 0 4
26.44, 43.8, 1 0 3
31.41, 78.0, 1 1 0
32.90, 100.0, 1 0 5
37.09, 51.2, 1 1 4
40.88, 28.4, 1 0 7
45.02, 41.2, 2 0 0
49.86, 24.3, 1 0 9
56.87, 39.6, 2 1 5
69.41, 30.9, 1 1 12

Atomic structure:
abc: 4.028 4.028 18.475
angles: 90.00 90.00 90.00
Space group I4/mmm (No. 139)
One atom of each set of equivalent atoms:
Sr (0.000, 0.000, 0.092)
Li (0.000, 0.000, 0.500)
Br (0.000, 0.000, 0.332)
O (0.000, 0.500, 0.000)

---

[2]
Calculated powder diffraction line list of LaZn2H7 for Cu Kα (λ = 1.5418 Å), from a PBE-relaxed structure.
Neutral-atom scattering factors, no anomalous dispersion.

Principal peaks in the range 2θ from 5° to 70°, low angle first:
2theta, I/Imax, (hkl)
17.53, 40.5, 1 1 0
29.30, 64.2, 2 0 0
30.85, 100.0, 1 1 1
32.10, 72.5, 0 2 1
33.08, 81.5, 1 3 0
44.01, 60.4, 2 2 1
52.94, 22.5, 3 1 1
54.40, 20.0, 3 3 0
59.23, 32.2, 1 5 1
62.76, 24.8, 1 3 2

Atomic structure:
abc: 6.097 9.068 3.536
angles: 90.00 90.00 90.00
Space group Cmmm (No. 65)
One atom of each set of equivalent atoms:
La (0.000, 0.000, 0.000)
Zn (0.000, 0.309, 0.500)
H (0.000, 0.273, 0.000)
H (0.000, 0.500, 0.500)
H (0.177, 0.129, 0.500)